This entry pairs a crystal structure of Zn2Ag9Hg with its calculated X-ray powder pattern. Radiation: CuKα. Structure: a GGA-PBE-relaxed structure.

Lattice parameters (Å, degrees): 4.231 4.231 11.861 90.00 90.00 90.00
Positions (direct):
Zn: 0.000 0.000 0.162
Zn: 0.000 0.000 0.838
Ag: 0.000 0.500 0.000
Ag: 0.000 0.500 0.323
Ag: 0.000 0.500 0.677
Ag: 0.500 0.000 0.000
Ag: 0.500 0.000 0.323
Ag: 0.500 0.000 0.677
Ag: 0.500 0.500 0.162
Ag: 0.500 0.500 0.500
Ag: 0.500 0.500 0.838
Hg: 0.000 0.000 0.500

Largest 10 diffraction maxima, low angle first, 10 to 90 degrees two-theta:
2θ 22.3, I 3; 2θ 33.6, I 3; 2θ 37.7, I 100; 2θ 42.7, I 35; 2θ 45.9, I 13; 2θ 62.0, I 11; 2θ 64.5, I 19; 2θ 74.9, I 25; 2θ 79.5, I 9; 2θ 80.5, I 10


This entry pairs a crystal structure of ZnAgHg2 with its calculated X-ray powder pattern. Radiation: CuKα. Structure: a GGA-PBE-relaxed structure.

Lattice parameters (Å, degrees): 3.685 3.685 5.994 90.00 90.00 90.00
Positions (direct):
Zn: 0.000 0.000 0.000
Ag: 0.500 0.500 0.233
Hg: 0.000 0.000 0.478
Hg: 0.500 0.500 0.761

Largest 10 diffraction maxima, low angle first, 10 to 90 degrees two-theta:
2θ 14.8, I 10; 2θ 28.4, I 25; 2θ 34.4, I 71; 2θ 38.7, I 100; 2θ 49.5, I 26; 2θ 64.5, I 44; 2θ 72.8, I 14; 2θ 82.8, I 12; 2θ 83.1, I 10; 2θ 85.4, I 11


This entry pairs a crystal structure of ZnAgHg2 with its calculated X-ray powder pattern. Radiation: CuKα. Structure: a GGA-PBE-relaxed structure.

Lattice parameters (Å, degrees): 3.239 4.689 5.264 90.00 90.08 90.00
Positions (direct):
Zn: 0.000 0.000 0.000
Ag: 0.003 0.500 0.317
Hg: 0.501 0.500 0.841
Hg: 0.503 0.000 0.478

Largest 10 diffraction maxima, low angle first, 10 to 90 degrees two-theta:
2θ 25.4, I 22; 2θ 32.5, I 20; 2θ 34.1, I 14; 2θ 37.8, I 100; 2θ 38.4, I 31; 2θ 39.3, I 38; 2θ 60.0, I 15; 2θ 69.1, I 17; 2θ 71.3, I 13; 2θ 73.5, I 17


This entry pairs a crystal structure of Zn4Ag8Hg with its calculated X-ray powder pattern. Radiation: CuKα. Structure: a GGA-PBE-relaxed structure.

Lattice parameters (Å, degrees): 7.092 7.092 7.092 98.25 98.25 135.48
Positions (direct):
Zn: 0.000 0.000 0.500
Zn: 0.000 0.500 0.000
Zn: 0.500 0.000 0.000
Zn: 0.500 0.500 0.500
Ag: 0.000 0.219 0.219
Ag: 0.000 0.781 0.781
Ag: 0.155 0.500 0.655
Ag: 0.219 0.000 0.219
Ag: 0.500 0.155 0.655
Ag: 0.500 0.845 0.345
Ag: 0.781 0.000 0.781
Ag: 0.845 0.500 0.345
Hg: 0.500 0.500 0.000

Largest 10 diffraction maxima, low angle first, 10 to 90 degrees two-theta:
2θ 27.1, I 8; 2θ 30.5, I 5; 2θ 33.4, I 40; 2θ 38.8, I 100; 2θ 43.6, I 30; 2θ 63.2, I 12; 2θ 70.2, I 23; 2θ 83.1, I 6; 2θ 83.2, I 8; 2θ 89.5, I 7


This entry pairs a crystal structure of ZnAg4Hg with its calculated X-ray powder pattern. Radiation: CuKα. Structure: a GGA-PBE-relaxed structure.

Lattice parameters (Å, degrees): 7.105 7.105 5.279 100.22 100.22 117.01
Positions (direct):
Zn: 0.001 0.999 0.750
Zn: 0.999 0.001 0.250
Ag: 0.089 0.713 0.453
Ag: 0.173 0.410 0.131
Ag: 0.287 0.911 0.047
Ag: 0.410 0.173 0.631
Ag: 0.590 0.827 0.369
Ag: 0.713 0.089 0.953
Ag: 0.827 0.590 0.869
Ag: 0.911 0.287 0.547
Hg: 0.403 0.597 0.750
Hg: 0.597 0.403 0.250

Largest 10 diffraction maxima, low angle first, 10 to 90 degrees two-theta:
2θ 29.5, I 28; 2θ 33.8, I 46; 2θ 34.8, I 41; 2θ 37.4, I 65; 2θ 39.2, I 100; 2θ 39.4, I 63; 2θ 39.6, I 44; 2θ 40.8, I 49; 2θ 65.0, I 18; 2θ 71.5, I 20


This entry pairs a crystal structure of Zr3Ag2Hg with its calculated X-ray powder pattern. Radiation: CuKα. Structure: a GGA-PBE-relaxed structure.

Lattice parameters (Å, degrees): 7.709 7.709 4.714 90.00 90.00 72.71
Positions (direct):
Zr: 0.087 0.913 0.750
Zr: 0.108 0.356 0.250
Zr: 0.356 0.108 0.750
Zr: 0.644 0.892 0.250
Zr: 0.892 0.644 0.750
Zr: 0.913 0.087 0.250
Ag: 0.283 0.492 0.750
Ag: 0.492 0.283 0.250
Ag: 0.508 0.717 0.750
Ag: 0.717 0.508 0.250
Hg: 0.270 0.730 0.250
Hg: 0.730 0.270 0.750

Largest 10 diffraction maxima, low angle first, 10 to 90 degrees two-theta:
2θ 14.3, I 22; 2θ 24.2, I 14; 2θ 30.4, I 54; 2θ 35.8, I 100; 2θ 37.5, I 18; 2θ 38.2, I 51; 2θ 40.0, I 92; 2θ 67.5, I 15; 2θ 70.2, I 17; 2θ 78.8, I 17


This entry pairs a crystal structure of Zr3AgHg2 with its calculated X-ray powder pattern. Radiation: CuKα. Structure: a GGA-PBE-relaxed structure.

Lattice parameters (Å, degrees): 3.176 3.176 12.570 90.00 90.00 90.00
Positions (direct):
Zr: 0.000 0.000 0.000
Zr: 0.000 0.000 0.338
Zr: 0.000 0.000 0.662
Ag: 0.500 0.500 0.500
Hg: 0.500 0.500 0.169
Hg: 0.500 0.500 0.831

Largest 10 diffraction maxima, low angle first, 10 to 90 degrees two-theta:
2θ 21.2, I 7; 2θ 28.1, I 8; 2θ 35.5, I 100; 2θ 40.2, I 36; 2θ 43.2, I 14; 2θ 58.1, I 12; 2θ 60.4, I 21; 2θ 69.9, I 27; 2θ 74.2, I 11; 2θ 75.1, I 11


This entry pairs a crystal structure of Zr3Ag4Hg2 with its calculated X-ray powder pattern. Radiation: CuKα. Structure: a GGA-PBE-relaxed structure.

Lattice parameters (Å, degrees): 8.433 8.433 5.772 90.00 90.00 120.01
Positions (direct):
Zr: 0.000 0.000 0.250
Zr: 0.000 0.000 0.750
Zr: 0.336 0.664 0.250
Zr: 0.336 0.664 0.750
Zr: 0.664 0.336 0.250
Zr: 0.664 0.336 0.750
Ag: 0.003 0.337 0.000
Ag: 0.333 0.337 0.000
Ag: 0.337 0.003 0.500
Ag: 0.337 0.333 0.500
Ag: 0.663 0.667 0.500
Ag: 0.663 0.997 0.500
Ag: 0.667 0.663 0.000
Ag: 0.997 0.663 0.000
Hg: 0.000 0.329 0.500
Hg: 0.000 0.671 0.500
Hg: 0.329 0.000 0.000
Hg: 0.671 0.000 0.000

Largest 10 diffraction maxima, low angle first, 10 to 90 degrees two-theta:
2θ 31.0, I 14; 2θ 36.9, I 100; 2θ 37.8, I 73; 2θ 49.0, I 24; 2θ 53.9, I 26; 2θ 66.5, I 17; 2θ 67.1, I 26; 2θ 75.2, I 7; 2θ 76.8, I 23; 2θ 78.6, I 11


This entry pairs a crystal structure of Zr2AgHg with its calculated X-ray powder pattern. Radiation: CuKα. Structure: a GGA-PBE-relaxed structure.

Lattice parameters (Å, degrees): 3.111 4.355 6.128 90.00 90.30 90.00
Positions (direct):
Zr: 0.001 0.000 0.252
Zr: 0.999 0.000 0.748
Ag: 0.500 0.500 0.500
Hg: 0.500 0.500 0.000

Largest 10 diffraction maxima, low angle first, 10 to 90 degrees two-theta:
2θ 35.5, I 100; 2θ 35.8, I 97; 2θ 41.3, I 33; 2θ 41.5, I 64; 2θ 59.9, I 21; 2θ 60.1, I 21; 2θ 71.2, I 13; 2θ 71.5, I 13; 2θ 71.8, I 12; 2θ 71.9, I 25


This entry pairs a crystal structure of Zr4AgHg3 with its calculated X-ray powder pattern. Radiation: CuKα. Structure: a GGA-PBE-relaxed structure.

Lattice parameters (Å, degrees): 9.215 9.215 9.215 152.25 152.25 39.64
Positions (direct):
Zr: 0.124 0.624 0.500
Zr: 0.376 0.876 0.500
Zr: 0.624 0.124 0.500
Zr: 0.876 0.376 0.500
Ag: 0.000 0.000 0.000
Hg: 0.250 0.250 0.000
Hg: 0.500 0.500 0.000
Hg: 0.750 0.750 0.000

Largest 10 diffraction maxima, low angle first, 10 to 90 degrees two-theta:
2θ 20.5, I 9; 2θ 28.6, I 8; 2θ 35.4, I 100; 2θ 40.8, I 34; 2θ 41.7, I 16; 2θ 59.1, I 11; 2θ 59.8, I 22; 2θ 70.9, I 26; 2θ 72.0, I 12; 2θ 74.9, I 11


This entry pairs a crystal structure of Zr2Ag3Hg3 with its calculated X-ray powder pattern. Radiation: CuKα. Structure: a GGA-PBE-relaxed structure.

Lattice parameters (Å, degrees): 8.401 8.401 8.401 33.49 33.49 33.49
Positions (direct):
Zr: 0.000 0.000 0.000
Zr: 0.499 0.499 0.499
Ag: 0.124 0.124 0.124
Ag: 0.248 0.248 0.248
Ag: 0.751 0.751 0.751
Hg: 0.377 0.377 0.377
Hg: 0.625 0.625 0.625
Hg: 0.873 0.873 0.873

Largest 10 diffraction maxima, low angle first, 10 to 90 degrees two-theta:
2θ 26.0, I 9; 2θ 37.1, I 100; 2θ 45.9, I 2; 2θ 53.5, I 17; 2θ 60.4, I 4; 2θ 66.8, I 9; 2θ 66.9, I 26; 2θ 79.0, I 5; 2θ 79.2, I 6; 2θ 85.0, I 2


This entry pairs a crystal structure of Ho2Ag5 with its calculated X-ray powder pattern. Radiation: CuKα. Structure: a GGA-PBE-relaxed structure.

Lattice parameters (Å, degrees): 5.311 5.311 7.408 94.85 94.85 44.55
Positions (direct):
Ho: 0.082 0.082 0.224
Ho: 0.918 0.918 0.776
Ag: 0.203 0.203 0.634
Ag: 0.359 0.359 0.070
Ag: 0.500 0.500 0.500
Ag: 0.641 0.641 0.930
Ag: 0.797 0.797 0.366

Largest 10 diffraction maxima, low angle first, 10 to 90 degrees two-theta:
2θ 34.8, I 100; 2θ 36.7, I 89; 2θ 39.5, I 36; 2θ 39.9, I 33; 2θ 45.0, I 24; 2θ 54.8, I 13; 2θ 61.4, I 19; 2θ 61.7, I 17; 2θ 67.5, I 14; 2θ 70.9, I 12


This entry pairs a crystal structure of Ho3Ag8 with its calculated X-ray powder pattern. Radiation: CuKα. Structure: a GGA-PBE-relaxed structure.

Lattice parameters (Å, degrees): 5.291 5.291 11.637 103.33 103.33 46.27
Positions (direct):
Ho: 0.000 0.000 0.000
Ho: 0.107 0.107 0.645
Ho: 0.893 0.893 0.355
Ag: 0.164 0.164 0.268
Ag: 0.274 0.274 0.907
Ag: 0.367 0.367 0.543
Ag: 0.444 0.444 0.175
Ag: 0.556 0.556 0.825
Ag: 0.633 0.633 0.457
Ag: 0.726 0.726 0.093
Ag: 0.836 0.836 0.732

Largest 10 diffraction maxima, low angle first, 10 to 90 degrees two-theta:
2θ 35.2, I 100; 2θ 36.2, I 93; 2θ 39.8, I 36; 2θ 41.1, I 30; 2θ 43.5, I 28; 2θ 60.4, I 21; 2θ 61.4, I 18; 2θ 68.7, I 13; 2θ 70.5, I 23; 2θ 74.5, I 21


This entry pairs a crystal structure of Ho3Ag2 with its calculated X-ray powder pattern. Radiation: CuKα. Structure: a GGA-PBE-relaxed structure.

Lattice parameters (Å, degrees): 3.592 3.592 19.573 90.00 90.00 90.00
Positions (direct):
Ho: 0.000 0.000 0.000
Ho: 0.000 0.000 0.188
Ho: 0.000 0.000 0.375
Ho: 0.000 0.000 0.625
Ho: 0.000 0.000 0.812
Ho: 0.500 0.500 0.500
Ag: 0.500 0.500 0.093
Ag: 0.500 0.500 0.281
Ag: 0.500 0.500 0.719
Ag: 0.500 0.500 0.907

Largest 10 diffraction maxima, low angle first, 10 to 90 degrees two-theta:
2θ 30.9, I 8; 2θ 33.9, I 100; 2θ 35.3, I 56; 2θ 37.2, I 13; 2θ 50.8, I 20; 2θ 59.6, I 9; 2θ 62.5, I 35; 2θ 63.9, I 8; 2θ 84.7, I 8; 2θ 85.5, I 9